Mg2TcN4: theoretical PXRD pattern (CuKα), based on the PBE geometry in Alexandria.
Neutral-atom scattering factors, no anomalous dispersion.

Peak list (10 most intense, 2θ = 15–90°, by angle)
d/Å  2theta  I/Imax  h k l
4.335  20.49  100.0  1 1 1
4.205  21.13  22.1  0 0 2
3.953  22.49  18.2  0 2 0
3.292  27.09  14.1  2 0 0
2.880  31.05  36.7  0 2 2
2.592  34.60  25.1  2 0 2
2.530  35.49  12.5  2 2 0
2.452  36.65  24.1  1 1 3
2.349  38.31  19.6  1 3 1
1.617  56.95  13.1  2 2 4

Crystal structure
a b c (Å): 6.5839 7.9069 8.4102
angles (deg): 90.00 90.00 90.00
Space group Ama2 (No. 40)
One atom of each set of equivalent atoms:
Mg: 0.0000 0.0000 0.0000
Mg: 0.2500 0.1548 0.6668
Tc: 0.2500 0.2495 0.2656
N: 0.0203 0.2054 0.1543
N: 0.2500 0.1004 0.4241
N: 0.2500 0.4695 0.3476